This entry pairs a crystal structure of Mn2Nb2Zn2O9 with its simulated powder diffractogram. Radiation: Cu Kα (weighted mean of Kα1 and Kα2). Structure: a cell relaxed with GGA+U.

Principal peaks in the range 2θ from 10° to 90°, by angle:
Position (°2θ)  I (rel.)  (hkl)
19.25  12  1 0 0
22.81  11  0 1 2
31.26  100  1 0 4
33.66  68  1 1 0
38.55  10  1 1 3
46.60  37  0 2 4
50.85  19  1 1 6
54.07  12  0 1 8
58.70  34  2 1 4
60.20  26  3 0 0
67.31  8  1 0 10
79.39  12  1 3 4

Cell and atoms:
Lattice parameters (Å, degrees): 5.3252 5.3252 14.5909 90.00 90.00 120.00
Space group P-3c1 (No. 165)
Asymmetric unit:
Mn 0.3333 0.6667 0.0131 [4 per cell]
Nb 0.0000 0.0000 0.1405 [4 per cell]
Zn 0.3333 0.6667 0.2902 [4 per cell]
O 0.0000 0.2861 0.2500 [6 per cell]
O 0.0237 0.3359 0.9146 [12 per cell]